Structure and theoretical powder X-ray diffraction pattern of NaSmPa2O8 (a cell relaxed with PBE; Cu Kα (weighted mean of Kα1 and Kα2)).
Intensities are scaled so that the largest is 100.

```
12
Lattice="5.896 0.000 0.000 -2.948 5.106 0.000 0.000 0.000 5.575" Properties=species:S:1:pos:R:3 pbc="T T T"
Na 0.000 0.000 0.000
Sm 0.000 0.000 2.787
Pa 0.000 3.404 5.137
Pa 2.948 1.702 0.437
O -0.715 1.772 1.023
O -1.056 4.839 1.023
O 0.000 3.404 3.169
O 1.178 1.505 4.551
O 1.770 3.601 1.023
O 2.948 1.702 2.405
O 4.004 0.267 4.551
O 3.663 3.334 4.551
```

Largest 8 diffraction maxima, by angle, 10 to 90 degrees two-theta:
hkl 0 0 1, 5.575 Å, I 26.0
hkl 0 1 1, 3.765 Å, I 100.0
hkl 1 1 0, 2.948 Å, I 79.7
hkl 1 0 2, 2.447 Å, I 22.4
hkl 2 0 1, 2.321 Å, I 33.3
hkl 2 -1 2, 2.025 Å, I 33.5
hkl 3 -2 1, 1.824 Å, I 29.3
hkl 3 0 0, 1.702 Å, I 22.3